(1)
Computed X-ray powder pattern of Ba2Na2LiAu4 for Cu Kα, 1.54184 Å, from a DFT-relaxed cell (PBE, Alexandria).
Neutral-atom scattering factors, no anomalous dispersion.

Atomic structure:
```
Ba2Na2LiAu4
1.0
-3.7352 3.7352 4.4025
3.7352 -3.7352 4.4025
3.7352 3.7352 -4.4025
Ba Na Li Au
2 2 1 4
Direct
0.2500 0.7500 0.5000
0.7500 0.2500 0.5000
0.1746 0.1746 0.0000
0.8254 0.8254 0.0000
0.5000 0.5000 0.0000
0.2569 0.2569 0.5137
0.2569 0.7431 0.0000
0.7431 0.2569 0.0000
0.7431 0.7431 0.4863
```

Principal peaks in the range 10° ≤ 2θ ≤ 90°, in order of rising 2θ:
- 20.17°, intensity 16
- 23.82°, intensity 19
- 31.41°, intensity 100
- 33.94°, intensity 43
- 39.80°, intensity 12
- 41.00°, intensity 12
- 48.76°, intensity 15
- 54.24°, intensity 21
- 59.16°, intensity 33
- 65.55°, intensity 11



(2)
Computed X-ray powder pattern of NaHoTl4 for Cu Kα, 1.54184 Å, from a DFT-relaxed cell (PBE, Alexandria).
Neutral-atom scattering factors, no anomalous dispersion.

Atomic structure:
```
NaHoTl4
1.0
3.7248 0.0000 0.0000
0.0000 5.1585 0.0000
-0.1852 0.0000 8.8936
Na Ho Tl
1 1 4
Direct
0.0000 0.0000 0.0000
0.9152 0.5000 0.5681
0.3177 0.5000 0.2282
0.3825 0.0000 0.6672
0.5244 0.5000 0.8870
0.7722 0.0000 0.3490
```

Principal peaks in the range 10° ≤ 2θ ≤ 90°, in order of rising 2θ:
- 19.92°, intensity 26
- 30.15°, intensity 16
- 31.00°, intensity 28
- 31.45°, intensity 100
- 34.78°, intensity 47
- 34.91°, intensity 71
- 35.66°, intensity 45
- 47.27°, intensity 18
- 56.89°, intensity 16
- 60.28°, intensity 16



(3)
Computed X-ray powder pattern of Nd2InBr2 for Cu Kα, 1.54184 Å, from a DFT-relaxed cell (PBE, Alexandria).
Neutral-atom scattering factors, no anomalous dispersion.

Atomic structure:
```
Nd2InBr2
1.0
4.1488 0.0000 0.0000
-2.0744 3.5930 0.0000
0.0000 0.0000 35.1430
Nd In Br
6 3 6
Direct
0.0000 0.0000 0.1059
0.0000 0.0000 0.8941
0.3333 0.6667 0.5608
0.3333 0.6667 0.7726
0.6667 0.3333 0.2274
0.6667 0.3333 0.4392
0.0000 0.0000 0.5000
0.3333 0.6667 0.1667
0.6667 0.3333 0.8333
0.0000 0.0000 0.2797
0.0000 0.0000 0.7203
0.3333 0.6667 0.3870
0.3333 0.6667 0.9464
0.6667 0.3333 0.0536
0.6667 0.3333 0.6130
```

Principal peaks in the range 10° ≤ 2θ ≤ 90°, in order of rising 2θ:
- 15.13°, intensity 11
- 27.89°, intensity 100
- 32.19°, intensity 21
- 35.74°, intensity 34
- 41.82°, intensity 22
- 43.63°, intensity 34
- 46.49°, intensity 11
- 52.58°, intensity 17
- 65.67°, intensity 16
- 70.64°, intensity 14